Computed X-ray powder pattern
Compound: Ac3Cu2Ni2As4
Radiation: a wavelength of 1.5418 Å
Structure: a structure optimized by DFT (PBE)

Main lines, in order of rising 2θ (5 to 70 degrees two-theta):
hkl	Position (°2θ)	d/Å	Rel. int.
1 0 0	24.16	3.684	27
0 1 1	24.84	3.585	12
0 1 2	26.76	3.331	20
0 1 3	29.72	3.006	80
0 1 4	33.46	2.678	100
0 0 7	40.48	2.228	22
1 1 0	42.51	2.127	74
1 0 7	47.70	1.907	12
2 0 3	52.73	1.736	17
2 0 4	55.15	1.665	24
1 1 7	60.14	1.539	41
1 2 3	69.95	1.345	14

Structural model:
```
Ac3Cu2Ni2As4
1.0
4.254 0.000 0.000
-2.127 3.684 0.000
0.000 0.000 15.598
Ac Cu Ni As
3 2 2 4
Direct
0.000 0.000 0.000
0.000 0.000 0.279
0.000 0.000 0.721
0.333 0.667 0.565
0.667 0.333 0.435
0.333 0.667 0.139
0.667 0.333 0.861
0.333 0.667 0.404
0.333 0.667 0.862
0.667 0.333 0.138
0.667 0.333 0.596
```